Starting from DFT lattice parameters and positions (PBE), the PXRD pattern of Sr2TbO was calculated for Cu Ka.

Cell: 10.3640 10.3640 10.3640 Å, 20.40 20.40 20.40°
Element x y z (fractional)
Sr  0.1171  0.1171  0.1171
Sr  0.8829  0.8829  0.8829
Tb  0.0000  0.0000  0.0000
O  0.5000  0.5000  0.5000

Most intense lines, 15° ≤ 2θ ≤ 90°, by angle:
d = 5.073 Å, intensity 22; d = 3.382 Å, intensity 51; d = 3.162 Å, intensity 100; d = 3.112 Å, intensity 48; d = 2.566 Å, intensity 36; d = 2.439 Å, intensity 76; d = 2.198 Å, intensity 33; d = 1.835 Å, intensity 35; d = 1.613 Å, intensity 36; d = 1.560 Å, intensity 17